Computed X-ray powder pattern
Compound: DyWBrO4
Radiation: Cu Kα, 1.54184 Å
Structure: the PBE+U geometry in Alexandria
Peak positions follow from Bragg's law for the DFT cell and can differ from measured ones.

Cell and atoms:
Lattice parameters (Å, degrees): 10.6202 7.3156 7.0056 90.00 107.51 90.00
Space group C2/m (No. 12)
Unique sites:
1 Dy 0.2305 0.0000 0.1214
2 W 0.1347 0.5000 0.2645
3 Br 0.0107 0.0000 0.7564
4 O 0.0438 0.5000 0.8091
5 O 0.1985 0.5000 0.5329
6 O 0.1994 0.3078 0.1544

Peak list (8 most intense, 2θ = 10–90°, in order of falling intensity)
hkl  2theta  intensity
0 2 0  24.33  1000
3 1 -1  28.53  524
3 1 -2  33.86  486
2 0 1  25.06  460
1 1 -2  28.26  333
0 0 2  26.69  293
0 0 1  13.25  273
2 2 1  35.21  257